For Sr3Re3N5, the PBE geometry in the Materials Project gives the computed X-ray diffraction stick pattern in this record (copper Kα).
Neutral-atom scattering factors, no anomalous dispersion.

Most intense lines, 10° ≤ 2θ ≤ 90°, in order of rising 2θ:
Position (°2θ)  d (Å)  Rel. int.
13.23  6.692  31
14.00  6.325  17
15.25  5.812  22
19.38  4.579  31
28.04  3.182  30
31.36  2.853  81
31.55  2.836  100
31.77  2.817  71
31.95  2.801  24
35.63  2.519  22
36.89  2.437  24
56.21  1.636  18

Cell and atoms:
```
Sr3Re3N5
1.0
6.0548 0.0000 0.0000
-0.5983 7.0648 0.0000
-2.1206 -2.8609 8.4484
Sr Re N
6 6 10
Direct
0.1416 0.3680 0.3834
0.1610 0.1529 0.7034
0.3117 0.9295 0.1169
0.6883 0.0705 0.8831
0.8390 0.8471 0.2966
0.8584 0.6320 0.6166
0.1814 0.4296 0.0637
0.3951 0.6091 0.8060
0.4004 0.8157 0.4702
0.5996 0.1843 0.5298
0.6049 0.3909 0.1940
0.8186 0.5704 0.9363
0.1267 0.5554 0.8812
0.2565 0.0415 0.4210
0.3422 0.7225 0.6375
0.3699 0.2199 0.9963
0.4050 0.6097 0.2787
0.5950 0.3903 0.7213
0.6301 0.7801 0.0037
0.6577 0.2775 0.3625
0.7435 0.9585 0.5790
0.8733 0.4446 0.1188
```

For Sr2ReN3, the PBE geometry in the Materials Project gives the computed X-ray diffraction stick pattern in this record (copper Kα).
Neutral-atom scattering factors, no anomalous dispersion.

Most intense lines, 10° ≤ 2θ ≤ 90°, in order of rising 2θ:
Position (°2θ)  d (Å)  Rel. int.
14.15  6.259  30
15.58  5.689  77
21.10  4.210  27
21.94  4.052  42
28.52  3.129  29
31.33  2.855  100
32.50  2.755  55
32.73  2.736  83
32.80  2.730  70
34.64  2.590  33
35.30  2.543  57
54.54  1.683  30

Cell and atoms:
```
Sr2ReN3
1.0
2.7496 -5.6890 0.0000
2.7496 5.6890 0.0000
-1.2346 0.0000 12.5179
Sr Re N
8 4 12
Direct
0.0204 0.4197 0.3565
0.1245 0.3462 0.9241
0.3462 0.1245 0.4241
0.4197 0.0204 0.8565
0.5803 0.9796 0.1435
0.6538 0.8755 0.5759
0.8755 0.6538 0.0759
0.9796 0.5803 0.6435
0.2853 0.2931 0.1730
0.2931 0.2853 0.6730
0.7069 0.7147 0.3270
0.7147 0.7069 0.8270
0.0021 0.9979 0.7500
0.1367 0.4596 0.1287
0.1742 0.3462 0.5483
0.3462 0.1742 0.0483
0.3743 0.6257 0.7500
0.4596 0.1367 0.6287
0.5404 0.8633 0.3713
0.6257 0.3743 0.2500
0.6538 0.8258 0.9517
0.8258 0.6538 0.4517
0.8633 0.5404 0.8713
0.9979 0.0021 0.2500
```

For SrReN3, the PBE geometry in the Materials Project gives the computed X-ray diffraction stick pattern in this record (copper Kα).
Neutral-atom scattering factors, no anomalous dispersion.

Most intense lines, 10° ≤ 2θ ≤ 90°, in order of rising 2θ:
Position (°2θ)  d (Å)  Rel. int.
16.73  5.300  17
22.47  3.957  29
23.82  3.735  20
25.28  3.523  100
26.58  3.353  45
29.43  3.035  19
29.79  2.999  49
30.76  2.906  52
37.30  2.411  20
46.78  1.942  21
48.53  1.876  19
56.64  1.625  23

Cell and atoms:
```
SrReN3
1.0
5.5575 -5.2652 0.0000
5.5575 5.2652 0.0000
-1.8907 0.0000 5.9973
Sr Re N
4 4 12
Direct
0.0920 0.9080 0.7500
0.3136 0.6864 0.2500
0.6864 0.3136 0.7500
0.9080 0.0920 0.2500
0.2041 0.3752 0.7535
0.3752 0.2041 0.2535
0.6248 0.7959 0.7465
0.7959 0.6248 0.2465
0.0143 0.2321 0.6662
0.1325 0.5968 0.8321
0.2321 0.0143 0.1662
0.3303 0.3580 0.5169
0.3580 0.3303 0.0169
0.4032 0.8675 0.6679
0.5968 0.1325 0.3321
0.6420 0.6697 0.9831
0.6697 0.6420 0.4831
0.7679 0.9857 0.8338
0.8675 0.4032 0.1679
0.9857 0.7679 0.3338
```

For SrReN2, the PBE geometry in the Materials Project gives the computed X-ray diffraction stick pattern in this record (copper Kα).
Neutral-atom scattering factors, no anomalous dispersion.

Most intense lines, 10° ≤ 2θ ≤ 90°, in order of rising 2θ:
Position (°2θ)  d (Å)  Rel. int.
13.77  6.432  45
18.26  4.857  64
22.16  4.012  51
29.69  3.009  59
30.30  2.950  82
30.55  2.926  100
34.93  2.569  73
36.51  2.461  83
41.13  2.195  93
46.90  1.937  66
54.48  1.684  39
64.57  1.443  27

Cell and atoms:
```
SrReN2
1.0
2.5690 -6.4318 0.0000
2.5690 6.4318 0.0000
0.0000 0.0000 7.4101
Sr Re N
4 4 8
Direct
0.1652 0.8348 0.9112
0.3348 0.6652 0.4112
0.6652 0.3348 0.5888
0.8348 0.1652 0.0888
0.0702 0.9298 0.3435
0.4298 0.5702 0.8435
0.5702 0.4298 0.1565
0.9298 0.0702 0.6565
0.0770 0.4230 0.7500
0.0899 0.9101 0.5958
0.4101 0.5899 0.0958
0.4230 0.0770 0.2500
0.5770 0.9230 0.7500
0.5899 0.4101 0.9042
0.9101 0.0899 0.4042
0.9230 0.5770 0.2500
```

For Sr4ReN4, the PBE geometry in the Materials Project gives the computed X-ray diffraction stick pattern in this record (copper Kα).
Neutral-atom scattering factors, no anomalous dispersion.

Most intense lines, 10° ≤ 2θ ≤ 90°, in order of rising 2θ:
Position (°2θ)  d (Å)  Rel. int.
10.19  8.683  100
15.93  5.563  28
20.46  4.342  25
26.61  3.349  31
28.25  3.159  64
28.66  3.115  78
31.08  2.878  79
36.42  2.467  36
36.84  2.440  42
38.64  2.330  38
47.31  1.922  28
51.54  1.773  25

Cell and atoms:
```
Sr4ReN4
1.0
9.5864 0.0000 0.0000
0.0000 3.8432 0.0000
0.0000 0.0000 20.4907
Sr Re N
16 4 16
Direct
0.0727 0.2500 0.1470
0.1427 0.7500 0.3545
0.1527 0.7500 0.7313
0.1710 0.2500 0.5302
0.3290 0.7500 0.0302
0.3473 0.2500 0.2313
0.3573 0.2500 0.8545
0.4273 0.7500 0.6470
0.5727 0.2500 0.3530
0.6427 0.7500 0.1455
0.6527 0.7500 0.7687
0.6710 0.2500 0.9698
0.8290 0.7500 0.4698
0.8473 0.2500 0.2687
0.8573 0.2500 0.6455
0.9273 0.7500 0.8530
0.0524 0.2500 0.9724
0.4476 0.7500 0.4724
0.5524 0.2500 0.5276
0.9476 0.7500 0.0276
0.0204 0.2500 0.4326
0.0550 0.7500 0.6194
0.1060 0.2500 0.8868
0.1740 0.7500 0.2315
0.3260 0.2500 0.7315
0.3940 0.7500 0.3868
0.4450 0.2500 0.1194
0.4796 0.7500 0.9326
0.5204 0.2500 0.0674
0.5550 0.7500 0.8806
0.6060 0.2500 0.6132
0.6740 0.7500 0.2685
0.8260 0.2500 0.7685
0.8940 0.7500 0.1132
0.9450 0.2500 0.3806
0.9796 0.7500 0.5674
```

For ReTeN, the PBE geometry in the Materials Project gives the computed X-ray diffraction stick pattern in this record (copper Kα).
Neutral-atom scattering factors, no anomalous dispersion.

Most intense lines, 10° ≤ 2θ ≤ 90°, in order of rising 2θ:
Position (°2θ)  d (Å)  Rel. int.
18.46  4.806  8
31.82  2.812  100
36.64  2.452  53
37.86  2.376  11
38.24  2.353  68
47.28  1.922  11
52.79  1.734  22
61.27  1.513  23
62.97  1.476  29
67.04  1.396  26
73.56  1.288  12
89.32  1.097  9

Cell and atoms:
```
ReTeN
1.0
3.4683 0.0000 0.0000
0.0000 3.4683 0.0000
0.0000 0.0000 9.6118
Re Te N
2 2 2
Direct
0.2500 0.2500 0.1131
0.7500 0.7500 0.8869
0.2500 0.2500 0.7128
0.7500 0.7500 0.2872
0.2500 0.7500 0.0000
0.7500 0.2500 0.0000
```